Entry 1:
This entry pairs a crystal structure of Rb2NbCl6 with its calculated powder diffractogram. Radiation: Cu Kα (λ = 1.5418 Å). Structure: a crystal structure in the Materials Project, relaxed with GGA-PBE.

Atomic structure:
abc: 7.367 7.367 10.100
angles: 90.00 90.00 90.00
Space group I4/mmm (No. 139)
Unique sites:
Rb (0.000, 0.500, 0.250)
Nb (0.000, 0.000, 0.000)
Cl (0.000, 0.000, 0.241)
Cl (0.235, 0.235, 0.000)

Most intense lines, 5° ≤ 2θ ≤ 70°, sorted by position:
- 2θ 14.88, rel. 86
- 2θ 24.16, rel. 39
- 2θ 24.55, rel. 75
- 2θ 30.03, rel. 100
- 2θ 34.43, rel. 91
- 2θ 35.55, rel. 42
- 2θ 42.75, rel. 33
- 2θ 50.33, rel. 57

***

Entry 2:
This entry pairs a crystal structure of Al2CoCl8 with its calculated powder diffractogram. Radiation: Cu Kα (λ = 1.5418 Å). Structure: a crystal structure in the Materials Project, relaxed with GGA-PBE.

Atomic structure:
abc: 18.063 8.189 11.640
angles: 90.00 127.03 90.00
Space group C2/c (No. 15)
Unique sites:
Al (0.081, 0.238, 0.027)
Co (0.000, 0.005, 0.750)
Cl (0.058, 0.222, 0.676)
Cl (0.077, 0.215, 0.211)
Cl (0.139, 0.017, 0.002)
Cl (0.152, 0.454, 0.052)

Most intense lines, 5° ≤ 2θ ≤ 70°, sorted by position:
- 2θ 12.28, rel. 100
- 2θ 12.43, rel. 82
- 2θ 18.36, rel. 23
- 2θ 19.46, rel. 24
- 2θ 28.44, rel. 40
- 2θ 29.77, rel. 84
- 2θ 30.77, rel. 17
- 2θ 43.67, rel. 29